# Dy3Ho7Pu
Theoretical powder diffractogram, Cu Kα, 1.54184 Å. Input: a DFT-relaxed cell (PBE, Alexandria).
Neutral-atom scattering factors, no anomalous dispersion.

Most intense lines, 10 to 80 degrees two-theta, in order of rising 2θ:
2θ/deg  I/Imax  index
14.7  8  1 0 0
31.4  100  2 0 1
31.7  32  0 0 3
36.5  68  0 2 2
52.5  24  2 2 0
52.7  23  2 0 4
62.5  14  0 4 1
62.6  28  2 2 3
62.8  14  0 2 5
65.6  12  4 0 2

Atomic structure:
a = 6.9754 Å, b = 6.9754 Å, c = 8.4808 Å
α = 90.00°, β = 90.00°, γ = 120.00°
Space group P3m1 (No. 156)
Symmetry-distinct sites (fractional):
1 Dy 0.0038 0.5019 0.0000 [3 per cell]
2 Ho 0.1690 0.3380 0.6593 [3 per cell]
3 Ho 0.3351 0.1675 0.3315 [3 per cell]
4 Ho 0.6667 0.3333 0.6633 [1 per cell]
5 Pu 0.3333 0.6667 0.3299 [1 per cell]

# LiCa5Ag2
Theoretical powder diffractogram, Cu Kα, 1.54184 Å. Input: a DFT-relaxed cell (PBE, Alexandria).
Neutral-atom scattering factors, no anomalous dispersion.

Most intense lines, 10 to 80 degrees two-theta, in order of rising 2θ:
2θ/deg  I/Imax  index
11.1  100  0 0 2
12.1  56  0 1 1
19.9  32  0 1 3
24.5  89  1 1 0
27.0  37  1 1 2
30.0  47  0 1 5
31.3  37  0 2 4
31.5  57  1 2 1
35.4  72  1 2 3
35.8  36  1 0 5

Atomic structure:
a = 4.0496 Å, b = 8.2083 Å, c = 15.9534 Å
α = 90.00°, β = 90.00°, γ = 90.00°
Space group Immm (No. 71)
Symmetry-distinct sites (fractional):
1 Li 0.0000 0.0000 0.0000 [2 per cell]
2 Ca 0.0000 0.2674 0.3548 [8 per cell]
3 Ca 0.0000 0.5000 0.0000 [2 per cell]
4 Ag 0.0000 0.5000 0.1978 [4 per cell]

# AcLaPu
Theoretical powder diffractogram, Cu Kα, 1.54184 Å. Input: a DFT-relaxed cell (PBE, Alexandria).
Neutral-atom scattering factors, no anomalous dispersion.

Most intense lines, 10 to 80 degrees two-theta, in order of rising 2θ:
2θ/deg  I/Imax  index
29.4  100  1 0 3
33.9  35  1 1 0
34.5  16  0 0 6
48.8  13  2 0 0
49.2  24  1 1 6
58.0  31  2 1 3
58.7  14  1 0 9
61.1  13  2 0 6
79.1  6  3 0 3
79.7  11  2 1 9

Atomic structure:
a = 3.7343 Å, b = 3.7343 Å, c = 15.6055 Å
α = 90.00°, β = 90.00°, γ = 90.00°
Space group I4mm (No. 107)
Symmetry-distinct sites (fractional):
1 Ac 0.0000 0.0000 0.0000 [2 per cell]
2 La 0.0000 0.0000 0.3200 [2 per cell]
3 Pu 0.0000 0.0000 0.6654 [2 per cell]